(1)
Calculated XRD peak list of CaTbPmZn for a wavelength of 1.5418 Å, from DFT lattice parameters and positions (GGA-PBE).
Neutral-atom scattering factors, no anomalous dispersion.

Principal peaks in the range 2θ from 5° to 70°, sorted by position:
| 2θ/deg | d (Å) | intensity |
| --- | --- | --- |
| 9.58 | 9.233 | 47 |
| 26.64 | 3.346 | 26 |
| 31.57 | 2.834 | 100 |
| 35.36 | 2.539 | 43 |
| 50.87 | 1.795 | 15 |
| 61.11 | 1.516 | 30 |

Atomic structure:
Lattice parameters (Å, degrees): 3.590 3.590 9.233 90.00 90.00 90.00
Space group P4mm (No. 99)
Asymmetric unit:
Ca (0.000, 0.000, 0.000) (multiplicity 1)
Tb (0.000, 0.000, 0.400) (multiplicity 1)
Pm (0.500, 0.500, 0.675) (multiplicity 1)
Zn (0.500, 0.500, 0.212) (multiplicity 1)


(2)
Calculated XRD peak list of Th3BiTe for a wavelength of 1.5418 Å, from DFT lattice parameters and positions (GGA-PBE).
Neutral-atom scattering factors, no anomalous dispersion.

Principal peaks in the range 2θ from 5° to 70°, sorted by position:
| 2θ/deg | d (Å) | intensity |
| --- | --- | --- |
| 29.02 | 3.077 | 96 |
| 31.92 | 2.804 | 100 |
| 33.49 | 2.676 | 77 |
| 34.07 | 2.631 | 54 |
| 35.78 | 2.509 | 35 |
| 56.16 | 1.638 | 59 |

Atomic structure:
Lattice parameters (Å, degrees): 18.005 4.034 9.517 90.00 105.44 90.00
Space group C2/m (No. 12)
Asymmetric unit:
Th (0.004, 0.000, 0.227) (multiplicity 4)
Th (0.191, 0.000, 0.895) (multiplicity 4)
Th (0.236, 0.000, 0.342) (multiplicity 4)
Bi (0.107, 0.500, 0.083) (multiplicity 4)
Te (0.115, 0.000, 0.548) (multiplicity 4)


(3)
Calculated XRD peak list of Te8As for a wavelength of 1.5418 Å, from DFT lattice parameters and positions (GGA-PBE).
Neutral-atom scattering factors, no anomalous dispersion.

Principal peaks in the range 2θ from 5° to 70°, sorted by position:
| 2θ/deg | d (Å) | intensity |
| --- | --- | --- |
| 9.80 | 9.022 | 83 |
| 13.88 | 6.380 | 30 |
| 30.01 | 2.978 | 95 |
| 33.20 | 2.698 | 100 |
| 35.89 | 2.502 | 26 |
| 36.15 | 2.485 | 31 |

Atomic structure:
Lattice parameters (Å, degrees): 12.759 12.759 4.170 90.00 90.00 90.00
Space group I4/mmm (No. 139)
Asymmetric unit:
Te (0.000, 0.224, 0.000) (multiplicity 8)
Te (0.179, 0.179, 0.500) (multiplicity 8)
As (0.000, 0.000, 0.000) (multiplicity 2)